Entry 1:
Diffraction record for Sr3HgBi2. The PXRD pattern is calculated, not measured: it uses a PBE-relaxed structure and Cu Ka.
Kinematic intensities with the Lorentz-polarization factor, no thermal factor.

Structure:
```
Sr3HgBi2
1.0
13.359 0.000 0.000
0.000 5.002 0.000
0.000 0.000 13.488
Sr Hg Bi
12 4 8
direct
0.051 0.250 0.116
0.128 0.750 0.555
0.201 0.250 0.806
0.299 0.750 0.306
0.372 0.250 0.055
0.449 0.750 0.616
0.551 0.250 0.384
0.628 0.750 0.945
0.701 0.250 0.694
0.799 0.750 0.194
0.872 0.250 0.445
0.949 0.750 0.884
0.163 0.250 0.316
0.337 0.750 0.816
0.663 0.250 0.184
0.837 0.750 0.684
0.012 0.750 0.325
0.187 0.750 0.003
0.313 0.250 0.503
0.488 0.250 0.825
0.512 0.750 0.175
0.687 0.750 0.497
0.813 0.250 0.997
0.988 0.250 0.675
```

Largest 12 diffraction maxima, in order of rising 2θ, 15 to 90 degrees two-theta:
- 2θ = 20.06°, I = 25
- 2θ = 20.85°, I = 44
- 2θ = 23.15°, I = 31
- 2θ = 25.88°, I = 85
- 2θ = 27.28°, I = 38
- 2θ = 27.62°, I = 20
- 2θ = 29.95°, I = 100
- 2θ = 32.92°, I = 39
- 2θ = 34.93°, I = 60
- 2θ = 35.90°, I = 64
- 2θ = 38.00°, I = 35
- 2θ = 58.30°, I = 22

=====

Entry 2:
Diffraction record for Sr4HgBi4. The PXRD pattern is calculated, not measured: it uses a PBE-relaxed structure and Cu Ka.
Kinematic intensities with the Lorentz-polarization factor, no thermal factor.

Structure:
```
Sr4HgBi4
1.0
9.901 0.000 0.000
0.000 9.901 0.000
0.000 0.000 7.113
Sr Hg Bi
8 2 8
direct
0.009 0.751 0.039
0.249 0.509 0.539
0.251 0.991 0.539
0.491 0.749 0.039
0.509 0.251 0.961
0.749 0.009 0.461
0.751 0.491 0.461
0.991 0.249 0.961
0.250 0.250 0.250
0.750 0.750 0.750
0.000 0.249 0.478
0.000 0.751 0.522
0.249 0.500 0.022
0.251 0.000 0.022
0.500 0.251 0.478
0.500 0.749 0.522
0.749 0.000 0.978
0.751 0.500 0.978
```

Largest 12 diffraction maxima, in order of rising 2θ, 15 to 90 degrees two-theta:
- 2θ = 15.34°, I = 21
- 2θ = 21.87°, I = 45
- 2θ = 25.04°, I = 30
- 2θ = 25.45°, I = 68
- 2θ = 36.00°, I = 100
- 2θ = 36.30°, I = 54
- 2θ = 42.78°, I = 17
- 2θ = 44.60°, I = 26
- 2θ = 52.27°, I = 22
- 2θ = 59.01°, I = 15
- 2θ = 64.53°, I = 14
- 2θ = 65.10°, I = 36

=====

Entry 3:
Diffraction record for Sr2Hg5Bi2. The PXRD pattern is calculated, not measured: it uses a PBE-relaxed structure and Cu Ka.
Kinematic intensities with the Lorentz-polarization factor, no thermal factor.

Structure:
```
Sr2Hg5Bi2
1.0
-4.948 8.855 3.279
4.948 -8.855 3.279
4.948 8.855 -3.279
Sr Hg Bi
4 10 4
direct
0.378 0.000 0.878
0.378 0.500 0.378
0.622 0.000 0.122
0.622 0.500 0.622
0.070 0.424 0.646
0.189 0.000 0.689
0.189 0.500 0.189
0.278 0.424 0.854
0.325 0.075 0.250
0.675 0.925 0.750
0.722 0.576 0.146
0.811 0.000 0.311
0.811 0.500 0.811
0.930 0.576 0.354
0.000 0.000 0.000
0.000 0.000 0.500
0.000 0.500 0.000
0.500 0.000 0.500
```

Largest 12 diffraction maxima, in order of rising 2θ, 15 to 90 degrees two-theta:
- 2θ = 25.90°, I = 95
- 2θ = 29.13°, I = 27
- 2θ = 32.77°, I = 99
- 2θ = 34.00°, I = 100
- 2θ = 35.41°, I = 25
- 2θ = 36.31°, I = 53
- 2θ = 36.63°, I = 40
- 2θ = 48.97°, I = 32
- 2θ = 56.05°, I = 16
- 2θ = 62.47°, I = 39
- 2θ = 63.10°, I = 19
- 2θ = 63.86°, I = 17

=====

Entry 4:
Diffraction record for Th6Hg5Bi. The PXRD pattern is calculated, not measured: it uses a PBE-relaxed structure and Cu Ka.
Kinematic intensities with the Lorentz-polarization factor, no thermal factor.

Structure:
```
Th6Hg5Bi
1.0
-2.487 4.545 7.438
2.487 -4.545 7.438
2.487 4.545 -7.438
Th Hg Bi
6 5 1
direct
0.081 0.333 0.748
0.245 0.000 0.245
0.416 0.667 0.748
0.584 0.333 0.252
0.755 0.000 0.755
0.919 0.667 0.252
0.000 0.500 0.500
0.167 0.167 0.000
0.328 0.828 0.500
0.672 0.172 0.500
0.833 0.833 0.000
0.500 0.500 0.000
```

Largest 12 diffraction maxima, in order of rising 2θ, 15 to 90 degrees two-theta:
- 2θ = 32.21°, I = 100
- 2θ = 36.11°, I = 19
- 2θ = 36.23°, I = 18
- 2θ = 39.66°, I = 14
- 2θ = 52.09°, I = 13
- 2θ = 54.75°, I = 23
- 2θ = 62.49°, I = 16
- 2θ = 62.66°, I = 15
- 2θ = 67.35°, I = 25
- 2θ = 85.69°, I = 7
- 2θ = 87.82°, I = 3
- 2θ = 89.92°, I = 9

=====

Entry 5:
Diffraction record for Th7Hg2Bi2. The PXRD pattern is calculated, not measured: it uses a PBE-relaxed structure and Cu Ka.
Kinematic intensities with the Lorentz-polarization factor, no thermal factor.

Structure:
```
Th7Hg2Bi2
1.0
3.530 -5.676 0.000
3.530 5.676 0.000
0.000 0.000 9.119
Th Hg Bi
7 2 2
direct
0.000 0.000 0.000
0.000 0.500 0.304
0.000 0.500 0.696
0.500 0.000 0.304
0.500 0.000 0.696
0.500 0.500 0.259
0.500 0.500 0.741
0.192 0.192 0.500
0.808 0.808 0.500
0.304 0.696 0.000
0.696 0.304 0.000
```

Largest 12 diffraction maxima, in order of rising 2θ, 15 to 90 degrees two-theta:
- 2θ = 24.53°, I = 50
- 2θ = 27.09°, I = 64
- 2θ = 29.81°, I = 30
- 2θ = 31.53°, I = 62
- 2θ = 33.28°, I = 69
- 2θ = 33.44°, I = 36
- 2θ = 35.85°, I = 100
- 2θ = 39.53°, I = 22
- 2θ = 42.35°, I = 30
- 2θ = 46.52°, I = 22
- 2θ = 55.04°, I = 23
- 2θ = 56.82°, I = 23

=====

Entry 6:
Diffraction record for Tl6Hg3Bi2. The PXRD pattern is calculated, not measured: it uses a PBE-relaxed structure and Cu Ka.
Kinematic intensities with the Lorentz-polarization factor, no thermal factor.

Structure:
```
Tl6Hg3Bi2
1.0
4.690 -8.335 0.000
4.690 8.335 0.000
-3.220 0.000 4.474
Tl Hg Bi
6 3 2
direct
0.080 0.389 0.234
0.235 0.235 0.731
0.389 0.080 0.234
0.611 0.920 0.766
0.765 0.765 0.269
0.920 0.611 0.766
0.180 0.820 0.500
0.500 0.500 0.500
0.820 0.180 0.500
0.330 0.670 0.000
0.670 0.330 0.000
```

Largest 12 diffraction maxima, in order of rising 2θ, 15 to 90 degrees two-theta:
- 2θ = 32.22°, I = 49
- 2θ = 32.49°, I = 54
- 2θ = 32.77°, I = 100
- 2θ = 32.88°, I = 100
- 2θ = 46.41°, I = 36
- 2θ = 47.79°, I = 17
- 2θ = 57.83°, I = 32
- 2θ = 58.07°, I = 20
- 2θ = 58.27°, I = 22
- 2θ = 58.83°, I = 26
- 2θ = 59.12°, I = 12
- 2θ = 77.27°, I = 15

=====

Entry 7:
Diffraction record for Tl4Hg5Bi3. The PXRD pattern is calculated, not measured: it uses a PBE-relaxed structure and Cu Ka.
Kinematic intensities with the Lorentz-polarization factor, no thermal factor.

Structure:
```
Tl4Hg5Bi3
1.0
4.526 -2.978 0.000
4.526 2.978 0.000
-2.103 0.000 14.270
Tl Hg Bi
4 5 3
direct
0.191 0.191 0.059
0.269 0.269 0.299
0.731 0.731 0.701
0.809 0.809 0.941
0.000 0.000 0.500
0.292 0.292 0.647
0.462 0.462 0.879
0.538 0.538 0.121
0.708 0.708 0.353
0.111 0.111 0.821
0.500 0.500 0.500
0.889 0.889 0.179
```

Largest 12 diffraction maxima, in order of rising 2θ, 15 to 90 degrees two-theta:
- 2θ = 25.25°, I = 19
- 2θ = 29.32°, I = 78
- 2θ = 29.64°, I = 64
- 2θ = 30.00°, I = 100
- 2θ = 33.34°, I = 63
- 2θ = 34.31°, I = 30
- 2θ = 34.98°, I = 54
- 2θ = 42.45°, I = 59
- 2θ = 47.82°, I = 16
- 2θ = 55.43°, I = 15
- 2θ = 56.53°, I = 16
- 2θ = 70.37°, I = 15

=====

Entry 8:
Diffraction record for Tl2Hg5Bi2. The PXRD pattern is calculated, not measured: it uses a PBE-relaxed structure and Cu Ka.
Kinematic intensities with the Lorentz-polarization factor, no thermal factor.

Structure:
```
Tl2Hg5Bi2
1.0
-7.698 6.363 2.816
7.698 -6.363 2.816
7.698 6.363 -2.816
Tl Hg Bi
4 10 4
direct
0.000 0.000 0.000
0.000 0.500 0.500
0.054 0.252 0.302
0.950 0.752 0.698
0.191 0.646 0.839
0.191 0.853 0.045
0.290 0.028 0.352
0.290 0.438 0.762
0.315 0.257 0.558
0.676 0.528 0.238
0.676 0.938 0.648
0.699 0.757 0.442
0.807 0.146 0.955
0.807 0.353 0.161
0.450 0.647 0.096
0.450 0.854 0.303
0.551 0.147 0.697
0.551 0.354 0.904
```

Largest 12 diffraction maxima, in order of rising 2θ, 15 to 90 degrees two-theta:
- 2θ = 28.79°, I = 15
- 2θ = 28.96°, I = 24
- 2θ = 29.85°, I = 63
- 2θ = 31.78°, I = 69
- 2θ = 32.85°, I = 100
- 2θ = 35.29°, I = 85
- 2θ = 44.16°, I = 44
- 2θ = 44.28°, I = 13
- 2θ = 57.30°, I = 23
- 2θ = 58.95°, I = 32
- 2θ = 63.97°, I = 21
- 2θ = 68.59°, I = 16

=====

Entry 9:
Diffraction record for Tl3Hg3Bi2. The PXRD pattern is calculated, not measured: it uses a PBE-relaxed structure and Cu Ka.
Kinematic intensities with the Lorentz-polarization factor, no thermal factor.

Structure:
```
Tl3Hg3Bi2
1.0
9.682 0.000 0.000
-4.841 8.385 0.000
0.000 0.000 6.500
Tl Hg Bi
6 6 4
direct
0.000 0.390 0.250
0.000 0.610 0.750
0.390 0.000 0.250
0.390 0.390 0.750
0.610 0.000 0.750
0.610 0.610 0.250
0.000 0.218 0.750
0.000 0.782 0.250
0.218 0.000 0.750
0.218 0.218 0.250
0.782 0.000 0.250
0.782 0.782 0.750
0.333 0.667 0.000
0.333 0.667 0.500
0.667 0.333 0.000
0.667 0.333 0.500
```

Largest 12 diffraction maxima, in order of rising 2θ, 15 to 90 degrees two-theta:
- 2θ = 27.44°, I = 15
- 2θ = 28.16°, I = 33
- 2θ = 29.47°, I = 18
- 2θ = 31.40°, I = 100
- 2θ = 32.02°, I = 31
- 2θ = 33.20°, I = 58
- 2θ = 39.74°, I = 22
- 2θ = 46.80°, I = 20
- 2θ = 49.84°, I = 11
- 2θ = 51.06°, I = 26
- 2θ = 62.30°, I = 27
- 2θ = 64.45°, I = 12

=====

Entry 10:
Diffraction record for Tl8Hg5Bi. The PXRD pattern is calculated, not measured: it uses a PBE-relaxed structure and Cu Ka.
Kinematic intensities with the Lorentz-polarization factor, no thermal factor.

Structure:
```
Tl8Hg5Bi
1.0
-4.785 4.785 4.794
4.785 -4.785 4.794
4.785 4.785 -4.794
Tl Hg Bi
8 5 1
direct
0.107 0.374 0.600
0.128 0.397 0.095
0.302 0.033 0.905
0.493 0.893 0.266
0.603 0.698 0.731
0.626 0.226 0.734
0.774 0.507 0.400
0.967 0.872 0.269
0.001 0.653 0.889
0.250 0.750 0.500
0.347 0.236 0.348
0.764 0.112 0.111
0.888 0.999 0.652
0.500 0.500 0.000
```

Largest 12 diffraction maxima, in order of rising 2θ, 15 to 90 degrees two-theta:
- 2θ = 29.50°, I = 100
- 2θ = 35.06°, I = 76
- 2θ = 42.21°, I = 14
- 2θ = 44.37°, I = 10
- 2θ = 46.46°, I = 17
- 2θ = 48.47°, I = 17
- 2θ = 59.48°, I = 15
- 2θ = 59.54°, I = 13
- 2θ = 61.26°, I = 9
- 2θ = 62.90°, I = 14
- 2θ = 72.58°, I = 9
- 2θ = 87.70°, I = 7

=====

Entry 11:
Diffraction record for Tl3Hg7Bi2. The PXRD pattern is calculated, not measured: it uses a PBE-relaxed structure and Cu Ka.
Kinematic intensities with the Lorentz-polarization factor, no thermal factor.

Structure:
```
Tl3Hg7Bi2
1.0
3.379 0.000 0.000
0.003 6.032 0.000
1.273 0.234 17.975
Tl Hg Bi
3 7 2
direct
0.000 0.000 0.000
0.098 0.721 0.665
0.902 0.279 0.335
0.003 0.706 0.842
0.271 0.749 0.493
0.471 0.785 0.150
0.500 0.500 0.000
0.529 0.215 0.850
0.729 0.251 0.507
0.997 0.294 0.158
0.403 0.782 0.321
0.597 0.218 0.679
```

Largest 12 diffraction maxima, in order of rising 2θ, 15 to 90 degrees two-theta:
- 2θ = 29.62°, I = 43
- 2θ = 29.82°, I = 100
- 2θ = 29.98°, I = 35
- 2θ = 30.43°, I = 76
- 2θ = 30.51°, I = 77
- 2θ = 31.15°, I = 32
- 2θ = 39.24°, I = 31
- 2θ = 40.68°, I = 45
- 2θ = 40.94°, I = 20
- 2θ = 41.54°, I = 19
- 2θ = 53.01°, I = 22
- 2θ = 53.05°, I = 23

=====

Entry 12:
Diffraction record for Tl8Hg2Bi. The PXRD pattern is calculated, not measured: it uses a PBE-relaxed structure and Cu Ka.
Kinematic intensities with the Lorentz-polarization factor, no thermal factor.

Structure:
```
Tl8Hg2Bi
1.0
5.556 0.000 0.000
-0.585 7.732 0.000
-2.512 -3.702 8.095
Tl Hg Bi
8 2 1
direct
0.000 0.000 0.000
0.025 0.562 0.064
0.238 0.038 0.389
0.350 0.893 0.717
0.390 0.385 0.785
0.582 0.290 0.151
0.713 0.769 0.389
0.827 0.546 0.645
0.522 0.815 0.054
0.851 0.150 0.718
0.208 0.463 0.398
```

Largest 12 diffraction maxima, in order of rising 2θ, 15 to 90 degrees two-theta:
- 2θ = 29.39°, I = 19
- 2θ = 29.64°, I = 17
- 2θ = 30.31°, I = 19
- 2θ = 31.60°, I = 82
- 2θ = 32.02°, I = 32
- 2θ = 32.13°, I = 69
- 2θ = 32.32°, I = 100
- 2θ = 33.20°, I = 47
- 2θ = 33.41°, I = 62
- 2θ = 33.87°, I = 55
- 2θ = 47.01°, I = 48
- 2θ = 55.98°, I = 26